Entry 1:
Structure and theoretical XRD peak list of Li5V2P5O18 (a DFT-relaxed cell (GGA+U, the Materials Project); Cu Kα X-rays).
Lines closer than 0.1° are merged.

Top 8 peaks for 10 to 80 degrees two-theta, in order of rising 2θ:
11.9°, I 54; 18.5°, I 48; 19.9°, I 79; 23.3°, I 41; 27.0°, I 81; 27.3°, I 51; 28.2°, I 100; 28.7°, I 75

Crystal structure
Unit cell a=6.5345 b=9.3836 c=10.6464 alpha=96.60 beta=93.06 gamma=91.46
Positions (direct):
Li1 0.0191 0.4568 0.1268
Li2 0.1206 0.7094 0.6601
Li3 0.1720 0.3696 0.6405
Li4 0.3426 0.8665 0.8616
Li5 0.4439 0.2243 0.4118
Li6 0.5561 0.7757 0.5882
Li7 0.6574 0.1335 0.1384
Li8 0.8280 0.6304 0.3595
Li9 0.8794 0.2906 0.3399
Li10 0.9809 0.5432 0.8732
V1 0.2310 0.8570 0.4034
V2 0.3265 0.2674 0.9492
V3 0.6735 0.7326 0.0508
V4 0.7690 0.1430 0.5966
P1 0.1623 0.0813 0.1753
P2 0.1711 0.7718 0.1008
P3 0.2231 0.5130 0.4016
P4 0.2804 0.0834 0.6513
P5 0.4827 0.5462 0.7994
P6 0.5173 0.4538 0.2006
P7 0.7196 0.9166 0.3487
P8 0.7769 0.4870 0.5984
P9 0.8289 0.2282 0.8992
P10 0.8377 0.9187 0.8247
O1 0.0087 0.3298 0.9551
O2 0.0229 0.8259 0.8140
O3 0.0306 0.4838 0.3123
O4 0.0768 0.9273 0.1016
O5 0.0822 0.1604 0.6137
O6 0.2176 0.6602 0.4830
O7 0.2277 0.7483 0.2365
O8 0.2573 0.9221 0.5965
O9 0.2643 0.0524 0.3039
O10 0.2674 0.3875 0.4752
O11 0.3213 0.1028 0.7977
O12 0.3224 0.1292 0.0843
O13 0.3237 0.4320 0.8314
O14 0.3432 0.4246 0.0954
O15 0.3578 0.7615 0.0203
O16 0.3900 0.6794 0.7545
O17 0.4182 0.5361 0.3197
O18 0.4592 0.1524 0.5860
O19 0.5408 0.8476 0.4140
O20 0.5818 0.4639 0.6803
O21 0.6100 0.3206 0.2455
O22 0.6422 0.2385 0.9797
O23 0.6568 0.5754 0.9046
O24 0.6763 0.5680 0.1686
O25 0.6776 0.8708 0.9157
O26 0.6787 0.8972 0.2023
O27 0.7326 0.6125 0.5248
O28 0.7357 0.9476 0.6961
O29 0.7427 0.0779 0.4035
O30 0.7723 0.2517 0.7635
O31 0.7824 0.3398 0.5170
O32 0.9178 0.8396 0.3863
O33 0.9232 0.0727 0.8984
O34 0.9694 0.5162 0.6877
O35 0.9771 0.1741 0.1860
O36 0.9913 0.6702 0.0449

Entry 2:
Structure and theoretical XRD peak list of LiVP2O7 (a DFT-relaxed cell (GGA+U, the Materials Project); Cu Kα X-rays).
Lines closer than 0.1° are merged.

Top 8 peaks for 10 to 80 degrees two-theta, in order of rising 2θ:
17.0°, I 100; 21.9°, I 21; 22.3°, I 52; 25.2°, I 20; 26.6°, I 22; 28.7°, I 31; 29.1°, I 55; 29.6°, I 27

Crystal structure
Unit cell a=4.8987 b=8.3196 c=7.0473 alpha=90.00 beta=108.29 gamma=90.00
Positions (direct):
Li1 0.1731 0.0000 0.1673
Li2 0.8269 0.5000 0.8327
V1 0.2122 0.3576 0.2276
V2 0.7878 0.8576 0.7724
P1 0.2214 0.0718 0.5862
P2 0.3994 0.6780 0.0254
P3 0.6006 0.1780 0.9746
P4 0.7786 0.5718 0.4138
O1 0.0373 0.5303 0.3474
O2 0.1382 0.1575 0.3849
O3 0.1857 0.8185 0.9846
O4 0.2480 0.5151 0.0078
O5 0.3959 0.1820 0.1009
O6 0.4092 0.9241 0.5849
O7 0.4103 0.2041 0.7442
O8 0.5897 0.7041 0.2558
O9 0.5908 0.4241 0.4151
O10 0.6041 0.6820 0.8991
O11 0.7520 0.0151 0.9922
O12 0.8143 0.3185 0.0154
O13 0.8618 0.6575 0.6151
O14 0.9627 0.0303 0.6526